[1]
KCeSiS4: theoretical powder diffraction line list (λ = 1.5418 Å (Cu Kα)), based on a crystal structure in the Materials Project, relaxed with PBE.
Kinematic intensities with the Lorentz-polarization factor, no thermal factor.

Structure:
```
KCeSiS4
1.0
6.575 0.000 0.000
0.000 6.700 0.000
-2.615 0.000 8.429
K Ce Si S
2 2 2 8
Cartesian
0.334 0.000 3.641 K
3.626 3.350 4.788 K
-0.708 0.122 8.008 Ce
4.669 3.472 0.421 Ce
1.391 3.271 1.526 Si
2.569 6.621 6.903 Si
-0.297 3.277 2.793 S
-1.809 3.005 7.910 S
2.588 5.025 1.788 S
1.183 5.042 6.513 S
2.777 1.692 1.916 S
1.373 1.675 6.641 S
5.769 6.355 0.518 S
4.257 6.627 5.636 S
```

Principal peaks in the range 2θ from 10° to 90°, low angle first:
2θ/deg  I/Imax
10.5  100
19.4  35
26.6  25
30.0  24
31.8  35
39.3  25



[2]
KCeSe4: theoretical powder diffraction line list (λ = 1.5418 Å (Cu Kα)), based on a crystal structure in the Materials Project, relaxed with PBE.
Kinematic intensities with the Lorentz-polarization factor, no thermal factor.

Structure:
```
KCeSe4
1.0
6.378 0.000 0.000
0.000 6.378 0.000
0.000 0.000 8.460
K Ce Se
2 2 8
Cartesian
1.594 1.594 0.000 K
4.783 4.783 0.000 K
1.594 1.594 4.230 Ce
4.783 4.783 4.230 Ce
0.723 3.912 2.452 Se
0.723 5.655 6.007 Se
2.466 3.912 6.007 Se
2.466 5.655 2.452 Se
3.912 0.723 6.007 Se
3.912 2.466 2.452 Se
5.655 0.723 2.452 Se
5.655 2.466 6.007 Se
```

Principal peaks in the range 2θ from 10° to 90°, low angle first:
2θ/deg  I/Imax
10.5  90
28.9  100
33.1  83
35.2  32
44.9  41
62.2  24



[3]
KCeTe4: theoretical powder diffraction line list (λ = 1.5418 Å (Cu Kα)), based on a crystal structure in the Materials Project, relaxed with PBE.
Kinematic intensities with the Lorentz-polarization factor, no thermal factor.

Structure:
```
KCeTe4
1.0
8.588 0.000 0.000
0.000 8.588 0.000
0.000 0.000 10.540
K Ce Te
2 2 8
Cartesian
0.000 4.294 0.000 K
4.294 0.000 0.000 K
0.000 4.294 5.270 Ce
4.294 0.000 5.270 Ce
0.000 2.207 3.002 Te
0.000 2.207 7.538 Te
0.000 6.381 3.002 Te
0.000 6.381 7.538 Te
2.207 0.000 3.002 Te
2.207 0.000 7.538 Te
6.381 0.000 3.002 Te
6.381 0.000 7.538 Te
```

Principal peaks in the range 2θ from 10° to 90°, low angle first:
2θ/deg  I/Imax
10.3  100
14.6  35
19.8  39
23.2  38
28.8  36
34.1  100



[4]
LaCeMg2: theoretical powder diffraction line list (λ = 1.5418 Å (Cu Kα)), based on a crystal structure in the Materials Project, relaxed with PBE.
Kinematic intensities with the Lorentz-polarization factor, no thermal factor.

Structure:
```
LaCeMg2
1.0
0.000 3.885 3.885
3.885 0.000 3.885
3.885 3.885 0.000
La Ce Mg
1 1 2
Cartesian
0.000 0.000 0.000 La
3.885 3.885 3.885 Ce
1.942 1.942 1.942 Mg
5.827 5.827 5.827 Mg
```

Principal peaks in the range 2θ from 10° to 90°, low angle first:
2θ/deg  I/Imax
22.9  57
32.6  100
40.2  18
46.8  18
52.7  24
58.2  38



[5]
LaCeMo12S16: theoretical powder diffraction line list (λ = 1.5418 Å (Cu Kα)), based on a crystal structure in the Materials Project, relaxed with PBE.
Kinematic intensities with the Lorentz-polarization factor, no thermal factor.

Structure:
```
LaCeMo12S16
1.0
6.519 0.000 0.000
0.128 6.522 0.000
0.267 0.269 13.059
La Ce Mo S
1 1 12 16
Cartesian
0.000 0.000 0.000 La
0.133 0.134 6.530 Ce
1.732 2.942 10.196 Mo
1.602 2.817 3.684 Mo
2.967 3.837 7.986 Mo
2.838 3.709 1.478 Mo
3.156 5.258 10.312 Mo
3.026 5.133 3.797 Mo
3.888 1.658 9.262 Mo
3.758 1.533 2.747 Mo
4.076 3.082 11.581 Mo
3.947 2.954 5.073 Mo
5.313 3.975 9.375 Mo
5.182 3.849 2.863 Mo
1.102 5.091 8.961 S
0.971 4.938 2.456 S
1.770 1.747 8.102 S
1.654 1.628 1.596 S
1.815 4.208 5.710 S
1.961 4.319 12.231 S
2.550 0.927 4.921 S
2.703 1.056 11.421 S
4.212 5.735 1.638 S
4.364 5.865 8.138 S
4.953 2.472 0.828 S
5.099 2.583 7.349 S
5.260 5.163 11.463 S
5.144 5.044 4.957 S
5.943 1.853 10.603 S
5.812 1.700 4.098 S
```

Principal peaks in the range 2θ from 10° to 90°, low angle first:
2θ/deg  I/Imax
13.6  100
19.1  65
30.9  73
33.8  68
41.9  77
46.2  94



[6]
LaCeN2: theoretical powder diffraction line list (λ = 1.5418 Å (Cu Kα)), based on a crystal structure in the Materials Project, relaxed with PBE.
Kinematic intensities with the Lorentz-polarization factor, no thermal factor.

Structure:
```
LaCeN2
1.0
1.822 1.052 5.986
-1.822 1.052 5.986
0.000 -2.104 5.986
La Ce N
1 1 2
Cartesian
0.000 0.000 0.000 La
0.000 0.000 8.978 Ce
0.000 0.000 4.348 N
0.000 0.000 13.609 N
```

Principal peaks in the range 2θ from 10° to 90°, low angle first:
2θ/deg  I/Imax
29.9  34
30.0  99
34.8  100
49.9  35
50.1  35
59.4  45



[7]
La4CePd15: theoretical powder diffraction line list (λ = 1.5418 Å (Cu Kα)), based on a crystal structure in the Materials Project, relaxed with PBE.
Kinematic intensities with the Lorentz-polarization factor, no thermal factor.

Structure:
```
La4CePd15
1.0
4.219 0.000 0.000
0.000 4.219 0.000
0.000 0.000 21.089
La Ce Pd
4 1 15
Cartesian
0.000 0.000 2.103 La
0.000 0.000 6.307 La
0.000 0.000 14.782 La
0.000 0.000 18.986 La
0.000 0.000 10.544 Ce
0.000 2.109 0.000 Pd
0.000 2.109 4.223 Pd
0.000 2.109 8.491 Pd
0.000 2.109 12.598 Pd
0.000 2.109 16.866 Pd
2.109 0.000 0.000 Pd
2.109 0.000 4.223 Pd
2.109 0.000 8.491 Pd
2.109 0.000 12.598 Pd
2.109 0.000 16.866 Pd
2.109 2.109 2.110 Pd
2.109 2.109 6.335 Pd
2.109 2.109 10.544 Pd
2.109 2.109 14.754 Pd
2.109 2.109 18.979 Pd
```

Principal peaks in the range 2θ from 10° to 90°, low angle first:
2θ/deg  I/Imax
21.1  1
36.9  100
42.9  49
62.2  32
74.6  37
78.6  11



[8]
LaCeSi4Pd4: theoretical powder diffraction line list (λ = 1.5418 Å (Cu Kα)), based on a crystal structure in the Materials Project, relaxed with PBE.
Kinematic intensities with the Lorentz-polarization factor, no thermal factor.

Structure:
```
LaCeSi4Pd4
1.0
4.243 0.000 0.000
0.000 4.243 0.000
0.000 0.000 9.956
La Ce Si Pd
1 1 4 4
Cartesian
0.000 0.000 0.000 La
2.121 2.121 4.978 Ce
0.000 0.000 3.807 Si
0.000 0.000 6.149 Si
2.121 2.121 1.193 Si
2.121 2.121 8.763 Si
0.000 2.121 2.510 Pd
0.000 2.121 7.446 Pd
2.121 0.000 2.510 Pd
2.121 0.000 7.446 Pd
```

Principal peaks in the range 2θ from 10° to 90°, low angle first:
2θ/deg  I/Imax
22.8  20
34.3  24
34.9  100
42.6  37
57.0  17
73.0  23